Structure and computed X-ray powder pattern of Cs2AgB (a GGA-PBE-relaxed structure; Cu Ka).

Top 10 peaks for 10° ≤ 2θ ≤ 80°, in order of rising 2θ:
17.7°, intensity 16.1; 20.4°, intensity 15.4; 29.0°, intensity 100.0; 34.2°, intensity 9.8; 35.7°, intensity 5.0; 41.5°, intensity 18.5; 46.7°, intensity 7.1; 51.4°, intensity 38.9; 60.1°, intensity 12.1; 68.1°, intensity 16.6

Atomic structure:
Cell: 6.154 6.154 6.154 Å, 60.00 60.00 60.00°
Element x y z (fractional)
Cs (0.250, 0.250, 0.250)
Cs (0.750, 0.750, 0.750)
Ag (0.000, 0.000, 0.000)
B (0.500, 0.500, 0.500)

=====

Structure and computed X-ray powder pattern of CsAgB2F8 (a GGA-PBE-relaxed structure; Cu Ka).

Top 10 peaks for 10° ≤ 2θ ≤ 80°, in order of rising 2θ:
20.5°, intensity 35.3; 24.1°, intensity 100.0; 33.6°, intensity 30.4; 35.0°, intensity 23.6; 39.7°, intensity 16.1; 40.3°, intensity 41.1; 41.5°, intensity 17.7; 41.8°, intensity 14.3; 53.0°, intensity 13.0; 54.7°, intensity 12.4

Atomic structure:
Cell: 8.777 8.777 8.777 Å, 35.37 35.37 35.37°
Element x y z (fractional)
Cs (0.000, 0.000, 0.000)
Ag (0.500, 0.500, 0.500)
B (0.245, 0.245, 0.245)
B (0.755, 0.755, 0.755)
F (0.019, 0.516, 0.786)
F (0.214, 0.981, 0.484)
F (0.303, 0.303, 0.303)
F (0.484, 0.214, 0.981)
F (0.516, 0.786, 0.019)
F (0.697, 0.697, 0.697)
F (0.786, 0.019, 0.516)
F (0.981, 0.484, 0.214)